1.
Ba6YCu3O11: simulated PXRD pattern (copper Kα), based on DFT lattice parameters and positions (PBE).
Peak positions follow from Bragg's law for the DFT cell and can differ from measured ones.

Largest 6 diffraction maxima, in order of rising 2θ, 2θ = 10–90°:
2theta  I/Imax
29.90  84.1
30.06  66.5
30.68  100.0
43.71  26.1
53.96  26.5
54.25  30.6

Cell and atoms:
a b c (Å): 11.175 11.175 8.203
angles (deg): 100.58 100.58 21.36
Atoms (fractional coordinates):
Ba 0.000 0.000 0.000
Ba 0.000 0.000 0.495
Ba 0.188 0.188 0.090
Ba 0.188 0.188 0.594
Ba 0.817 0.817 0.404
Ba 0.820 0.820 0.909
Y 0.596 0.596 0.796
Cu 0.402 0.402 0.698
Cu 0.405 0.405 0.201
Cu 0.599 0.599 0.297
O 0.091 0.091 0.793
O 0.314 0.314 0.652
O 0.316 0.316 0.158
O 0.403 0.403 0.452
O 0.405 0.405 0.947
O 0.488 0.488 0.740
O 0.493 0.493 0.245
O 0.596 0.596 0.072
O 0.596 0.596 0.520
O 0.693 0.693 0.344
O 0.702 0.702 0.849


2.
Ba4Y2Cu7O15: simulated PXRD pattern (copper Kα), based on DFT lattice parameters and positions (PBE).
Peak positions follow from Bragg's law for the DFT cell and can differ from measured ones.

Largest 6 diffraction maxima, in order of rising 2θ, 2θ = 10–90°:
2theta  I/Imax
31.01  36.1
32.37  100.0
32.53  86.1
33.54  48.5
46.42  31.8
57.72  37.5

Cell and atoms:
a b c (Å): 25.683 25.683 3.913
angles (deg): 90.00 90.00 171.33
Atoms (fractional coordinates):
Ba 0.042 0.958 0.000
Ba 0.189 0.811 0.000
Ba 0.811 0.189 0.000
Ba 0.958 0.042 0.000
Y 0.115 0.885 0.000
Y 0.885 0.115 0.000
Cu 0.270 0.730 0.500
Cu 0.351 0.649 0.500
Cu 0.418 0.582 0.500
Cu 0.500 0.500 0.500
Cu 0.582 0.418 0.500
Cu 0.649 0.351 0.500
Cu 0.730 0.270 0.500
O 0.087 0.913 0.500
O 0.143 0.857 0.500
O 0.233 0.767 0.500
O 0.306 0.694 0.500
O 0.356 0.644 0.000
O 0.412 0.588 0.000
O 0.463 0.537 0.500
O 0.500 0.500 0.000
O 0.537 0.463 0.500
O 0.588 0.412 0.000
O 0.644 0.356 0.000
O 0.694 0.306 0.500
O 0.767 0.233 0.500
O 0.857 0.143 0.500
O 0.913 0.087 0.500